Diffraction record for Li2MnFeB2O6. The powder diffraction line list is calculated, not measured: it uses a crystal structure in Alexandria, relaxed with GGA+U and Cu Ka.

Most intense lines, 10° ≤ 2θ ≤ 90°, by intensity:
(1 0 1), 4.124 Å, 21.5 deg, I = 100
(1 2 1), 2.508 Å, 35.8 deg, I = 81
(3 0 0), 2.381 Å, 37.8 deg, I = 32
(3 2 0), 1.901 Å, 47.8 deg, I = 28
(4 2 -2), 1.727 Å, 53.0 deg, I = 24
(1 2 3), 1.678 Å, 54.7 deg, I = 19

Structural model:
Cell: 8.2460 6.3198 8.2474 Å, 90.00 119.99 90.00°
Sites, in units of the cell vectors:
Li (0.0000, 0.2486, 0.0000)
Li (0.0000, 0.7514, 0.0000)
Li (0.2677, 0.2506, 0.6852)
Li (0.2677, 0.7494, 0.6852)
Li (0.5826, 0.2494, 0.2678)
Li (0.5826, 0.7506, 0.2678)
Mn (0.2949, 0.0000, 0.3592)
Mn (0.6456, 0.5000, 0.9730)
Mn (0.9104, 0.5000, 0.6226)
Fe (0.2904, 0.5000, 0.3515)
Fe (0.6447, 0.0000, 0.9771)
Fe (0.9144, 0.0000, 0.6224)
B (0.2811, 0.0000, 0.9819)
B (0.2860, 0.5000, 0.9870)
B (0.6168, 0.2487, 0.6511)
B (0.6168, 0.7513, 0.6511)
B (0.9501, 0.2482, 0.3176)
B (0.9501, 0.7518, 0.3176)
O (0.1442, 0.2543, 0.4062)
O (0.1442, 0.7457, 0.4062)
O (0.1713, 0.0000, 0.0657)
O (0.1728, 0.5000, 0.0688)
O (0.1969, 0.0000, 0.7871)
O (0.2045, 0.5000, 0.7932)
O (0.4760, 0.0000, 0.0912)
O (0.4797, 0.5000, 0.1006)
O (0.5032, 0.2512, 0.4570)
O (0.5032, 0.7488, 0.4570)
O (0.5362, 0.2480, 0.7646)
O (0.5362, 0.7520, 0.7646)
O (0.8109, 0.2477, 0.7316)
O (0.8109, 0.7523, 0.7316)
O (0.8446, 0.2455, 0.1235)
O (0.8446, 0.7545, 0.1235)
O (0.8615, 0.2461, 0.4233)
O (0.8615, 0.7539, 0.4233)